Entry 1:
KBaGdWO6: computed powder diffractogram (Cu Ka), based on a structure optimized by DFT (GGA+U).
Lines closer than 0.1° are merged.

Cell and atoms:
```
40
Lattice="8.5031 0.0000 0.0000 0.0000 8.5099 0.0000 0.0000 0.0000 8.5162" Properties=species:S:1:pos:R:3 pbc="T T T"
K 2.1258 2.1275 2.1291
K 2.1258 2.1275 6.3872
K 6.3773 6.3824 2.1291
K 6.3773 6.3824 6.3872
Ba 2.1258 6.3824 2.1291
Ba 2.1258 6.3824 6.3872
Ba 6.3773 2.1275 2.1291
Ba 6.3773 2.1275 6.3872
Gd 0.0000 0.0000 0.0000
Gd 0.0000 4.2549 4.2581
Gd 4.2515 0.0000 4.2581
Gd 4.2515 4.2549 0.0000
W 0.0000 0.0000 4.2581
W 0.0000 4.2549 0.0000
W 4.2515 0.0000 0.0000
W 4.2515 4.2549 4.2581
O 0.0354 1.9601 4.1660
O 0.0354 2.2948 0.0921
O 0.0885 0.0858 6.2176
O 0.0885 4.1691 6.5567
O 1.9620 4.3943 0.0833
O 1.9620 8.3705 4.1748
O 2.2895 4.3943 4.1748
O 2.2895 8.3705 0.0833
O 4.1631 0.0858 6.5567
O 4.1631 4.1691 6.2176
O 4.2161 1.9601 0.0921
O 4.2161 2.2948 4.1660
O 4.2870 6.2150 4.3502
O 4.2870 6.5498 8.4241
O 4.3400 4.3408 2.2986
O 4.3400 8.4240 1.9595
O 6.2135 0.1393 8.4330
O 6.2135 4.1156 4.3414
O 6.5411 0.1393 4.3414
O 6.5411 4.1156 8.4330
O 8.4146 4.3408 1.9595
O 8.4146 8.4240 2.2986
O 8.4677 6.2150 8.4241
O 8.4677 6.5498 4.3502
```

Peak list (12 most intense, 2θ from 15° to 90°, sorted by position)
- 2θ = 20.9°, d = 4.255 Å, I = 21
- 2θ = 25.6°, d = 3.475 Å, I = 3
- 2θ = 29.7°, d = 3.009 Å, I = 100
- 2θ = 42.5°, d = 2.127 Å, I = 29
- 2θ = 47.8°, d = 1.903 Å, I = 9
- 2θ = 52.7°, d = 1.737 Å, I = 41
- 2θ = 61.7°, d = 1.504 Å, I = 18
- 2θ = 65.8°, d = 1.418 Å, I = 4
- 2θ = 69.9°, d = 1.346 Å, I = 12
- 2θ = 70.0°, d = 1.345 Å, I = 6
- 2θ = 77.8°, d = 1.228 Å, I = 6
- 2θ = 85.4°, d = 1.137 Å, I = 22



Entry 2:
MgFe2O2F2: computed powder diffractogram (Cu Ka), based on a structure optimized by DFT (GGA+U).
Lines closer than 0.1° are merged.

Cell and atoms:
```
7
Lattice="3.2086 0.0000 0.0000 0.0000 3.1684 4.5770 0.0000 -3.1684 4.5770" Properties=species:S:1:pos:R:3 pbc="T T T"
Mg 0.0000 0.0000 0.0000
Fe 0.0000 0.0000 3.3346
Fe 1.6043 0.0000 6.9302
O 0.0000 -1.9125 3.0122
O 0.0000 1.9125 3.0122
F 1.6043 0.0000 1.0545
F 1.6043 0.0000 4.7928
```

Peak list (12 most intense, 2θ from 15° to 90°, sorted by position)
- 2θ = 19.4°, d = 4.577 Å, I = 62
- 2θ = 28.2°, d = 3.168 Å, I = 100
- 2θ = 32.6°, d = 2.749 Å, I = 59
- 2θ = 32.8°, d = 2.732 Å, I = 76
- 2θ = 34.1°, d = 2.627 Å, I = 62
- 2θ = 43.3°, d = 2.088 Å, I = 54
- 2θ = 44.8°, d = 2.022 Å, I = 35
- 2θ = 52.0°, d = 1.759 Å, I = 23
- 2θ = 52.7°, d = 1.737 Å, I = 17
- 2θ = 52.8°, d = 1.732 Å, I = 35
- 2θ = 57.4°, d = 1.605 Å, I = 34
- 2θ = 60.6°, d = 1.527 Å, I = 31



Entry 3:
Sr2YCrO6: computed powder diffractogram (Cu Ka), based on a structure optimized by DFT (GGA+U).
Lines closer than 0.1° are merged.

Cell and atoms:
```
10
Lattice="0.0000 4.1010 4.1010 4.1010 0.0000 4.1010 4.1010 4.1010 0.0000" Properties=species:S:1:pos:R:3 pbc="T T T"
Sr 2.0505 2.0505 2.0505
Sr 6.1515 6.1515 6.1515
Y 0.0000 0.0000 0.0000
Cr 4.1010 4.1010 4.1010
O 4.1010 4.1010 2.2085
O 4.1010 2.2085 4.1010
O 5.9936 4.1010 4.1010
O 2.2085 4.1010 4.1010
O 4.1010 5.9936 4.1010
O 4.1010 4.1010 5.9936
```

Peak list (12 most intense, 2θ from 15° to 90°, sorted by position)
- 2θ = 18.7°, d = 4.735 Å, I = 1
- 2θ = 30.8°, d = 2.900 Å, I = 100
- 2θ = 36.3°, d = 2.473 Å, I = 2
- 2θ = 38.0°, d = 2.368 Å, I = 7
- 2θ = 44.2°, d = 2.051 Å, I = 37
- 2θ = 48.4°, d = 1.882 Å, I = 2
- 2θ = 54.8°, d = 1.674 Å, I = 38
- 2θ = 64.2°, d = 1.450 Å, I = 21
- 2θ = 72.9°, d = 1.297 Å, I = 17
- 2θ = 77.1°, d = 1.237 Å, I = 2
- 2θ = 81.3°, d = 1.184 Å, I = 7
- 2θ = 89.4°, d = 1.096 Å, I = 21



Entry 4:
FeOF: computed powder diffractogram (Cu Ka), based on a structure optimized by DFT (GGA+U).
Lines closer than 0.1° are merged.

Cell and atoms:
```
9
Lattice="7.2741 -1.5409 0.0000 7.2741 1.5409 0.0000 -0.0453 0.0000 4.7874" Properties=species:S:1:pos:R:3 pbc="T T T"
Fe 0.0000 0.0000 0.0000
Fe 4.5920 0.0000 4.2999
Fe 9.5278 0.0000 2.1746
O 1.3940 0.0000 1.2617
O 3.1612 0.0000 3.0466
O 12.9172 0.0000 3.7069
F 6.2528 0.0000 0.9454
F 8.0976 0.0000 3.6809
F 11.0489 0.0000 0.6870
```

Peak list (12 most intense, 2θ from 15° to 90°, sorted by position)
- 2θ = 18.5°, d = 4.787 Å, I = 28
- 2θ = 22.1°, d = 4.017 Å, I = 100
- 2θ = 22.3°, d = 3.982 Å, I = 35
- 2θ = 30.7°, d = 2.909 Å, I = 20
- 2θ = 31.0°, d = 2.883 Å, I = 57
- 2θ = 34.5°, d = 2.601 Å, I = 52
- 2θ = 35.2°, d = 2.550 Å, I = 52
- 2θ = 39.3°, d = 2.290 Å, I = 42
- 2θ = 46.8°, d = 1.940 Å, I = 22
- 2θ = 51.8°, d = 1.766 Å, I = 35
- 2θ = 56.9°, d = 1.617 Å, I = 20
- 2θ = 65.2°, d = 1.431 Å, I = 23



Entry 5:
CaMoO3: computed powder diffractogram (Cu Ka), based on a structure optimized by DFT (GGA+U).
Lines closer than 0.1° are merged.

Cell and atoms:
```
20
Lattice="5.7034 0.0000 0.0000 0.0000 7.9867 0.0000 0.0000 0.0000 5.5258" Properties=species:S:1:pos:R:3 pbc="T T T"
Ca 0.2704 1.9967 0.0520
Ca 2.5813 5.9900 2.8149
Ca 3.1221 1.9967 2.7109
Ca 5.4330 5.9900 5.4738
Mo 0.0000 0.0000 2.7629
Mo 0.0000 3.9933 2.7629
Mo 2.8517 0.0000 0.0000
Mo 2.8517 3.9933 0.0000
O 0.2460 5.9900 2.2135
O 1.1655 4.4212 4.4592
O 1.1655 7.5588 4.4592
O 1.6862 0.4279 1.6964
O 1.6862 3.5654 1.6964
O 2.6057 1.9967 4.9764
O 3.0977 5.9900 0.5494
O 4.0172 4.4212 3.8294
O 4.0172 7.5588 3.8294
O 4.5379 0.4279 1.0665
O 4.5379 3.5654 1.0665
O 5.4573 1.9967 3.3123
```

Peak list (12 most intense, 2θ from 15° to 90°, sorted by position)
- 2θ = 22.3°, d = 3.993 Å, I = 17
- 2θ = 22.4°, d = 3.969 Å, I = 37
- 2θ = 31.4°, d = 2.852 Å, I = 24
- 2θ = 31.8°, d = 2.815 Å, I = 100
- 2θ = 32.4°, d = 2.763 Å, I = 23
- 2θ = 45.4°, d = 1.997 Å, I = 16
- 2θ = 45.7°, d = 1.984 Å, I = 28
- 2θ = 56.1°, d = 1.639 Å, I = 18
- 2θ = 56.2°, d = 1.636 Å, I = 12
- 2θ = 56.9°, d = 1.618 Å, I = 11
- 2θ = 57.4°, d = 1.605 Å, I = 25
- 2θ = 66.4°, d = 1.407 Å, I = 14